No. 1
The following is a calculated XRD peak list of SrNdSi3Au. It was derived from the PBE geometry in OQMD, using Cu Ka.

Principal peaks in the range 2θ from 15° to 90°, by intensity:
- 31.95 deg, intensity 100
- 23.49 deg, intensity 61
- 31.83 deg, intensity 51
- 43.16 deg, intensity 42
- 60.85 deg, intensity 30
- 40.74 deg, intensity 24
- 21.33 deg, intensity 24
- 38.69 deg, intensity 23
- 54.86 deg, intensity 22
- 43.45 deg, intensity 20

Cell and atoms:
a b c (Å): 8.518 8.383 6.081
angles (deg): 70.10 67.74 42.16
Positions (direct):
Sr 0.250 0.250 0.250
Sr 0.750 0.750 0.750
Nd 0.242 0.758 0.242
Nd 0.758 0.242 0.758
Si 0.162 0.162 0.838
Si 0.166 0.674 0.834
Si 0.326 0.834 0.674
Si 0.674 0.166 0.326
Si 0.834 0.326 0.166
Si 0.838 0.838 0.162
Au 0.334 0.334 0.666
Au 0.666 0.666 0.334


No. 2
The following is a calculated XRD peak list of DyAl2Ga2Ni. It was derived from the PBE geometry in OQMD, using Cu Ka.

Principal peaks in the range 2θ from 15° to 90°, by intensity:
- 35.34 deg, intensity 100
- 36.80 deg, intensity 40
- 39.29 deg, intensity 32
- 37.82 deg, intensity 30
- 44.60 deg, intensity 29
- 35.77 deg, intensity 23
- 44.80 deg, intensity 21
- 26.77 deg, intensity 21
- 31.20 deg, intensity 20
- 28.09 deg, intensity 19

Cell and atoms:
a b c (Å): 7.905 7.905 6.661
angles (deg): 90.00 90.00 150.21
Positions (direct):
Dy 0.116 0.884 0.750
Dy 0.884 0.116 0.250
Al 0.311 0.689 0.553
Al 0.311 0.689 0.947
Al 0.689 0.311 0.053
Al 0.689 0.311 0.447
Ga 0.073 0.927 0.250
Ga 0.500 0.500 0.000
Ga 0.500 0.500 0.500
Ga 0.927 0.073 0.750
Ni 0.226 0.774 0.250
Ni 0.774 0.226 0.750


No. 3
The following is a calculated XRD peak list of Tm2ScCu4Si2Ge2. It was derived from the PBE geometry in OQMD, using Cu Ka.

Principal peaks in the range 2θ from 15° to 90°, by intensity:
- 35.98 deg, intensity 100
- 37.10 deg, intensity 87
- 39.81 deg, intensity 49
- 15.13 deg, intensity 47
- 44.40 deg, intensity 40
- 46.53 deg, intensity 37
- 25.79 deg, intensity 37
- 40.73 deg, intensity 30
- 66.27 deg, intensity 25
- 74.75 deg, intensity 23

Cell and atoms:
a b c (Å): 7.805 7.805 7.805
angles (deg): 149.69 130.88 58.81
Positions (direct):
Tm 0.129 0.129 0.000
Tm 0.871 0.871 0.000
Sc 0.500 0.000 0.500
Cu 0.133 0.326 0.808
Cu 0.482 0.674 0.808
Cu 0.518 0.326 0.192
Cu 0.867 0.674 0.192
Si 0.286 0.786 0.500
Si 0.714 0.214 0.500
Ge 0.200 0.500 0.700
Ge 0.800 0.500 0.300


No. 4
The following is a calculated XRD peak list of Er2MgGe4O12. It was derived from the PBE geometry in OQMD, using Cu Ka.

Principal peaks in the range 2θ from 15° to 90°, by intensity:
- 29.18 deg, intensity 100
- 31.61 deg, intensity 64
- 21.77 deg, intensity 53
- 30.34 deg, intensity 44
- 22.63 deg, intensity 35
- 25.00 deg, intensity 35
- 34.38 deg, intensity 29
- 35.02 deg, intensity 29
- 28.04 deg, intensity 29
- 36.90 deg, intensity 27

Cell and atoms:
a b c (Å): 4.886 7.025 7.854
angles (deg): 66.86 88.33 80.23
Positions (direct):
Er 0.051 0.267 0.458
Er 0.949 0.733 0.542
Mg 0.000 0.500 0.000
Ge 0.418 0.867 0.792
Ge 0.462 0.659 0.222
Ge 0.538 0.341 0.778
Ge 0.582 0.133 0.208
O 0.227 0.567 0.393
O 0.230 0.924 0.588
O 0.249 0.516 0.790
O 0.250 0.270 0.198
O 0.251 0.764 0.009
O 0.392 0.146 0.738
O 0.608 0.854 0.262
O 0.749 0.236 0.991
O 0.750 0.730 0.802
O 0.751 0.484 0.210
O 0.770 0.076 0.412
O 0.773 0.433 0.607


No. 5
The following is a calculated XRD peak list of CsErP2Se7. It was derived from the PBE geometry in OQMD, using Cu Ka.

Principal peaks in the range 2θ from 15° to 90°, by intensity:
- 28.88 deg, intensity 100
- 29.72 deg, intensity 90
- 25.32 deg, intensity 72
- 16.56 deg, intensity 50
- 20.77 deg, intensity 42
- 18.82 deg, intensity 41
- 30.29 deg, intensity 33
- 41.94 deg, intensity 32
- 42.22 deg, intensity 32
- 30.52 deg, intensity 31

Cell and atoms:
a b c (Å): 7.144 7.144 7.225
angles (deg): 96.38 96.38 96.96
Positions (direct):
Cs 0.000 0.000 0.000
Er 0.404 0.596 0.500
P 0.562 0.049 0.407
P 0.951 0.438 0.593
Se 0.015 0.569 0.341
Se 0.213 0.457 0.792
Se 0.431 0.985 0.659
Se 0.467 0.275 0.250
Se 0.543 0.787 0.208
Se 0.725 0.533 0.750
Se 0.890 0.110 0.500


No. 6
The following is a calculated XRD peak list of Ho2Si4CN6. It was derived from the PBE geometry in OQMD, using Cu Ka.

Principal peaks in the range 2θ from 15° to 90°, by intensity:
- 32.26 deg, intensity 100
- 30.18 deg, intensity 43
- 35.33 deg, intensity 31
- 19.43 deg, intensity 27
- 36.03 deg, intensity 25
- 29.97 deg, intensity 22
- 17.22 deg, intensity 20
- 35.14 deg, intensity 19
- 44.65 deg, intensity 16
- 54.88 deg, intensity 15

Cell and atoms:
a b c (Å): 5.916 9.887 11.856
angles (deg): 90.00 119.54 90.00
Positions (direct):
Ho 0.158 0.086 0.419
Ho 0.158 0.414 0.919
Ho 0.168 0.065 0.904
Ho 0.168 0.435 0.404
Ho 0.832 0.565 0.596
Ho 0.832 0.935 0.096
Ho 0.842 0.586 0.081
Ho 0.842 0.914 0.581
Si 0.178 0.228 0.659
Si 0.178 0.272 0.159
Si 0.298 0.705 0.823
Si 0.298 0.795 0.323
Si 0.335 0.713 0.580
Si 0.335 0.787 0.080
Si 0.495 0.521 0.251
Si 0.495 0.979 0.751
Si 0.505 0.021 0.249
Si 0.505 0.479 0.749
Si 0.665 0.213 0.920
Si 0.665 0.287 0.420
Si 0.702 0.205 0.677
Si 0.702 0.295 0.177
Si 0.822 0.728 0.841
Si 0.822 0.772 0.341
C 0.476 0.709 0.247
C 0.476 0.791 0.747
C 0.524 0.209 0.253
C 0.524 0.291 0.753
N 0.006 0.209 0.001
N 0.006 0.291 0.501
N 0.020 0.236 0.247
N 0.020 0.264 0.747
N 0.200 0.053 0.637
N 0.200 0.447 0.137
N 0.256 0.535 0.776
N 0.256 0.965 0.276
N 0.441 0.544 0.600
N 0.441 0.956 0.100
N 0.458 0.709 0.991
N 0.458 0.791 0.491
N 0.542 0.209 0.509
N 0.542 0.291 0.009
N 0.559 0.044 0.900
N 0.559 0.456 0.400
N 0.744 0.035 0.724
N 0.744 0.465 0.224
N 0.800 0.553 0.863
N 0.800 0.947 0.363
N 0.980 0.736 0.253
N 0.980 0.764 0.753
N 0.994 0.709 0.499
N 0.994 0.791 0.999


No. 7
The following is a calculated XRD peak list of CdCuSiAgS4. It was derived from the PBE geometry in OQMD, using Cu Ka.

Principal peaks in the range 2θ from 15° to 90°, by intensity:
- 28.06 deg, intensity 100
- 46.83 deg, intensity 37
- 54.96 deg, intensity 27
- 46.24 deg, intensity 18
- 56.00 deg, intensity 13
- 32.24 deg, intensity 12
- 17.95 deg, intensity 12
- 37.14 deg, intensity 12
- 75.48 deg, intensity 10
- 29.48 deg, intensity 10

Cell and atoms:
a b c (Å): 6.696 6.696 6.696
angles (deg): 131.00 131.00 71.81
Positions (direct):
Cd 0.000 0.000 0.000
Cu 0.750 0.250 0.500
Si 0.500 0.500 0.000
Ag 0.250 0.750 0.500
S 0.143 0.179 0.565
S 0.422 0.857 0.036
S 0.614 0.578 0.435
S 0.821 0.386 0.964


No. 8
The following is a calculated XRD peak list of Sm2ErN3. It was derived from the PBE geometry in OQMD, using Cu Ka.

Principal peaks in the range 2θ from 15° to 90°, by intensity:
- 31.16 deg, intensity 100
- 36.14 deg, intensity 72
- 52.04 deg, intensity 50
- 61.91 deg, intensity 45
- 87.83 deg, intensity 22
- 85.06 deg, intensity 19
- 64.99 deg, intensity 17
- 76.68 deg, intensity 8

Cell and atoms:
a b c (Å): 3.516 3.516 8.607
angles (deg): 90.00 90.00 120.00
Positions (direct):
Sm 0.333 0.667 0.329
Sm 0.667 0.333 0.671
Er 0.000 0.000 0.000
N 0.000 0.000 0.500
N 0.333 0.667 0.842
N 0.667 0.333 0.158


No. 9
The following is a calculated XRD peak list of YHoCo2Sn. It was derived from the PBE geometry in OQMD, using Cu Ka.

Principal peaks in the range 2θ from 15° to 90°, by intensity:
- 33.86 deg, intensity 100
- 35.15 deg, intensity 71
- 30.44 deg, intensity 37
- 40.38 deg, intensity 35
- 60.52 deg, intensity 29
- 38.72 deg, intensity 24
- 47.59 deg, intensity 22
- 47.76 deg, intensity 22
- 64.27 deg, intensity 17
- 58.05 deg, intensity 14

Cell and atoms:
a b c (Å): 3.809 7.142 7.142
angles (deg): 31.04 90.00 90.00
Positions (direct):
Y 0.000 0.000 0.000
Ho 0.000 0.725 0.725
Co 0.500 0.161 0.161
Co 0.500 0.568 0.568
Sn 0.500 0.363 0.363


No. 10
The following is a calculated XRD peak list of PrSbO4. It was derived from the PBE geometry in OQMD, using Cu Ka.

Principal peaks in the range 2θ from 15° to 90°, by intensity:
- 28.20 deg, intensity 100
- 28.44 deg, intensity 62
- 26.16 deg, intensity 46
- 32.16 deg, intensity 43
- 25.76 deg, intensity 37
- 27.28 deg, intensity 36
- 39.40 deg, intensity 31
- 18.82 deg, intensity 29
- 51.36 deg, intensity 23
- 44.04 deg, intensity 21

Cell and atoms:
a b c (Å): 5.565 4.714 14.136
angles (deg): 90.00 112.31 90.00
Positions (direct):
Pr 0.172 0.134 0.143
Pr 0.172 0.866 0.643
Pr 0.828 0.134 0.357
Pr 0.828 0.866 0.857
Sb 0.363 0.257 0.927
Sb 0.363 0.743 0.427
Sb 0.637 0.257 0.573
Sb 0.637 0.743 0.073
O 0.005 0.385 0.867
O 0.005 0.615 0.367
O 0.259 0.071 0.494
O 0.259 0.929 0.994
O 0.354 0.030 0.810
O 0.354 0.970 0.310
O 0.421 0.419 0.072
O 0.421 0.581 0.572
O 0.579 0.419 0.428
O 0.579 0.581 0.928
O 0.646 0.030 0.690
O 0.646 0.970 0.190
O 0.741 0.071 0.006
O 0.741 0.929 0.506
O 0.995 0.385 0.633
O 0.995 0.615 0.133


No. 11
The following is a calculated XRD peak list of Nd2PbS3. It was derived from the PBE geometry in OQMD, using Cu Ka.

Principal peaks in the range 2θ from 15° to 90°, by intensity:
- 30.59 deg, intensity 100
- 26.53 deg, intensity 66
- 44.11 deg, intensity 39
- 43.49 deg, intensity 38
- 26.04 deg, intensity 20
- 51.94 deg, intensity 20
- 54.63 deg, intensity 19
- 72.74 deg, intensity 16
- 71.82 deg, intensity 14
- 80.71 deg, intensity 13

Cell and atoms:
a b c (Å): 4.106 4.106 10.267
angles (deg): 90.00 90.00 120.00
Positions (direct):
Nd 0.333 0.667 0.149
Nd 0.667 0.333 0.851
Pb 0.000 0.000 0.500
S 0.000 0.000 0.000
S 0.333 0.667 0.676
S 0.667 0.333 0.324


No. 12
The following is a calculated XRD peak list of Mg3Sc2AgAu2. It was derived from the PBE geometry in OQMD, using Cu Ka.

Principal peaks in the range 2θ from 15° to 90°, by intensity:
- 37.71 deg, intensity 100
- 26.42 deg, intensity 42
- 22.83 deg, intensity 34
- 68.08 deg, intensity 34
- 44.54 deg, intensity 19
- 61.46 deg, intensity 17
- 54.40 deg, intensity 17
- 46.64 deg, intensity 13
- 80.54 deg, intensity 11
- 86.57 deg, intensity 9

Cell and atoms:
a b c (Å): 4.770 4.770 6.747
angles (deg): 90.00 90.00 90.00
Positions (direct):
Mg 0.000 0.000 0.000
Mg 0.000 0.500 0.744
Mg 0.500 0.000 0.256
Sc 0.000 0.500 0.257
Sc 0.500 0.000 0.743
Ag 0.500 0.500 0.500
Au 0.000 0.000 0.500
Au 0.500 0.500 0.000